Entry 1:
Theoretical X-ray powder pattern of K2CuBr2F2 for Cu Kα, from a GGA-PBE-relaxed structure.
Lines closer than 0.1° are merged.

Cell and atoms:
```
K2CuBr2F2
1.0
5.0293 0.0000 0.0000
0.0000 5.0293 0.0000
0.0000 0.0000 6.6349
K Cu Br F
2 1 2 2
direct
0.0000 0.5000 0.0000
0.5000 0.0000 0.0000
0.0000 0.0000 0.5000
0.0000 0.5000 0.5000
0.5000 0.0000 0.5000
0.0000 0.0000 0.0000
0.5000 0.5000 0.0000
```

Top 10 peaks for 15° ≤ 2θ ≤ 90°, sorted by position:
2theta  I (rel.)
17.63  21
22.18  24
25.04  35
26.88  100
35.71  91
37.06  24
45.25  89
51.39  30
58.93  38
67.66  28

=====

Entry 2:
Theoretical X-ray powder pattern of CuH6BrN2 for Cu Kα, from a GGA-PBE-relaxed structure.
Lines closer than 0.1° are merged.

Cell and atoms:
```
CuH6BrN2
1.0
3.3379 -6.4358 0.0000
3.3379 6.4358 0.0000
-2.4191 0.0000 5.2777
Cu H Br N
2 12 2 4
direct
0.0000 0.0000 0.0000
0.0000 0.0000 0.5000
0.0890 0.7117 0.9125
0.1451 0.4017 0.9917
0.1800 0.4112 0.2871
0.2883 0.9110 0.5875
0.4017 0.1451 0.4917
0.4112 0.1800 0.7871
0.5888 0.8200 0.2129
0.5983 0.8549 0.5083
0.7117 0.0890 0.4125
0.8200 0.5888 0.7129
0.8549 0.5983 0.0083
0.9110 0.2883 0.0875
0.3634 0.6366 0.7500
0.6366 0.3634 0.2500
0.0638 0.3048 0.0999
0.3048 0.0638 0.5999
0.6952 0.9362 0.4001
0.9362 0.6952 0.9001
```

Top 10 peaks for 15° ≤ 2θ ≤ 90°, sorted by position:
2theta  I (rel.)
18.41  30
21.78  30
25.42  100
27.51  36
29.44  33
30.53  47
31.60  70
44.39  36
44.84  23
49.86  26

=====

Copy entry 2 word for word.
Theoretical X-ray powder pattern of CuH6BrN2 for Cu Kα, from a GGA-PBE-relaxed structure.
Lines closer than 0.1° are merged.

Cell and atoms:
```
CuH6BrN2
1.0
3.3379 -6.4358 0.0000
3.3379 6.4358 0.0000
-2.4191 0.0000 5.2777
Cu H Br N
2 12 2 4
direct
0.0000 0.0000 0.0000
0.0000 0.0000 0.5000
0.0890 0.7117 0.9125
0.1451 0.4017 0.9917
0.1800 0.4112 0.2871
0.2883 0.9110 0.5875
0.4017 0.1451 0.4917
0.4112 0.1800 0.7871
0.5888 0.8200 0.2129
0.5983 0.8549 0.5083
0.7117 0.0890 0.4125
0.8200 0.5888 0.7129
0.8549 0.5983 0.0083
0.9110 0.2883 0.0875
0.3634 0.6366 0.7500
0.6366 0.3634 0.2500
0.0638 0.3048 0.0999
0.3048 0.0638 0.5999
0.6952 0.9362 0.4001
0.9362 0.6952 0.9001
```

Top 10 peaks for 15° ≤ 2θ ≤ 90°, sorted by position:
2theta  I (rel.)
18.41  30
21.78  30
25.42  100
27.51  36
29.44  33
30.53  47
31.60  70
44.39  36
44.84  23
49.86  26